Simulated powder diffraction line list
Compound: Ac2TeS2
Radiation: a wavelength of 1.5418 Å
Structure: DFT lattice parameters and positions (PBE)
Peak positions follow from Bragg's law for the DFT cell and can differ from measured ones.

Atomic structure:
a b c (Å): 7.683 7.683 7.903
angles (deg): 114.88 114.88 97.45
Atoms (fractional coordinates):
Ac: 0.086 0.914 0.750
Ac: 0.336 0.664 0.250
Ac: 0.664 0.336 0.750
Ac: 0.914 0.086 0.250
Te: 0.375 0.625 0.750
Te: 0.625 0.375 0.250
S: 0.016 0.265 0.029
S: 0.265 0.016 0.529
S: 0.735 0.984 0.471
S: 0.984 0.735 0.971

Most intense lines, 2θ = 10–80°, low angle first:
2θ 21.2, 4.189 Å, rel. 59
2θ 22.8, 3.903 Å, rel. 100
2θ 22.9, 3.886 Å, rel. 99
2θ 25.8, 3.451 Å, rel. 68
2θ 29.3, 3.043 Å, rel. 44
2θ 31.0, 2.887 Å, rel. 29
2θ 33.3, 2.692 Å, rel. 58
2θ 35.4, 2.534 Å, rel. 44
2θ 36.1, 2.486 Å, rel. 29
2θ 38.8, 2.319 Å, rel. 43

***

Simulated powder diffraction line list
Compound: Ac5Te5S
Radiation: a wavelength of 1.5418 Å
Structure: DFT lattice parameters and positions (PBE)
Peak positions follow from Bragg's law for the DFT cell and can differ from measured ones.

Atomic structure:
a b c (Å): 8.082 8.082 9.249
angles (deg): 107.00 107.00 48.12
Atoms (fractional coordinates):
Ac: 0.000 0.000 0.000
Ac: 0.344 0.344 0.159
Ac: 0.344 0.344 0.681
Ac: 0.656 0.656 0.319
Ac: 0.656 0.656 0.841
Te: 0.163 0.163 0.824
Te: 0.172 0.172 0.336
Te: 0.500 0.500 0.500
Te: 0.828 0.828 0.664
Te: 0.837 0.837 0.176
S: 0.500 0.500 0.000

Most intense lines, 2θ = 10–80°, low angle first:
2θ 27.1, 3.295 Å, rel. 100
2θ 27.3, 3.271 Å, rel. 48
2θ 38.6, 2.330 Å, rel. 57
2θ 38.8, 2.321 Å, rel. 38
2θ 39.0, 2.312 Å, rel. 19
2θ 47.8, 1.903 Å, rel. 20
2θ 48.1, 1.893 Å, rel. 21
2θ 55.8, 1.647 Å, rel. 13
2θ 63.1, 1.473 Å, rel. 18
2θ 63.2, 1.471 Å, rel. 13

***

Simulated powder diffraction line list
Compound: AcTeS6
Radiation: a wavelength of 1.5418 Å
Structure: DFT lattice parameters and positions (PBE)
Peak positions follow from Bragg's law for the DFT cell and can differ from measured ones.

Atomic structure:
a b c (Å): 4.140 8.217 8.265
angles (deg): 62.71 75.83 89.63
Atoms (fractional coordinates):
Ac: 0.000 0.000 0.000
Te: 0.500 0.500 0.000
S: 0.324 0.217 0.348
S: 0.340 0.990 0.321
S: 0.423 0.703 0.164
S: 0.577 0.297 0.836
S: 0.660 0.010 0.679
S: 0.676 0.783 0.652

Most intense lines, 2θ = 10–80°, low angle first:
2θ 12.2, 7.247 Å, rel. 29
2θ 12.5, 7.067 Å, rel. 100
2θ 21.7, 4.104 Å, rel. 23
2θ 24.0, 3.705 Å, rel. 28
2θ 24.1, 3.687 Å, rel. 28
2θ 25.6, 3.479 Å, rel. 23
2θ 27.5, 3.247 Å, rel. 43
2θ 34.5, 2.597 Å, rel. 24
2θ 35.0, 2.567 Å, rel. 23
2θ 42.1, 2.148 Å, rel. 24

***

Simulated powder diffraction line list
Compound: Ac3TeS6
Radiation: a wavelength of 1.5418 Å
Structure: DFT lattice parameters and positions (PBE)
Peak positions follow from Bragg's law for the DFT cell and can differ from measured ones.

Atomic structure:
a b c (Å): 9.204 9.204 7.121
angles (deg): 90.00 90.00 102.46
Atoms (fractional coordinates):
Ac: 0.099 0.901 0.500
Ac: 0.202 0.415 0.414
Ac: 0.415 0.202 0.914
Ac: 0.585 0.798 0.414
Ac: 0.798 0.585 0.914
Ac: 0.901 0.099 0.000
Te: 0.347 0.653 0.927
Te: 0.653 0.347 0.427
S: 0.090 0.606 0.713
S: 0.139 0.186 0.706
S: 0.186 0.139 0.206
S: 0.269 0.731 0.240
S: 0.394 0.910 0.713
S: 0.492 0.508 0.658
S: 0.508 0.492 0.158
S: 0.606 0.090 0.213
S: 0.731 0.269 0.740
S: 0.814 0.861 0.706
S: 0.861 0.814 0.206
S: 0.910 0.394 0.213

Most intense lines, 2θ = 10–80°, low angle first:
2θ 23.4, 3.800 Å, rel. 100
2θ 23.7, 3.755 Å, rel. 24
2θ 24.8, 3.588 Å, rel. 12
2θ 25.0, 3.561 Å, rel. 14
2θ 32.4, 2.761 Å, rel. 13
2θ 34.9, 2.570 Å, rel. 20
2θ 35.5, 2.527 Å, rel. 26
2θ 39.2, 2.300 Å, rel. 19
2θ 43.1, 2.099 Å, rel. 13
2θ 45.5, 1.994 Å, rel. 13